[1]
For CaEuMnCoO6, a crystal structure in the Materials Project, relaxed with PBE+U gives the calculated powder XRD pattern in this record (copper Kα).
Intensities are scaled so that the largest is 100.

Peak list (10 most intense, 2θ from 5° to 70°, by angle)
two_theta	d [Å]	Rel. int.
13.60	6.510	19
26.36	3.381	55
27.40	3.255	100
33.30	2.691	24
37.62	2.391	46
40.61	2.221	18
47.17	1.927	45
49.07	1.857	20
54.26	1.691	14
56.55	1.627	25

```
CaEuMnCoO6
1.0
9.564 0.000 0.000
0.000 9.564 0.000
0.000 0.000 8.885
Ca Eu Mn Co O
4 4 4 4 24
Cartesian
0.000 0.000 0.000 Ca
0.000 4.782 0.000 Ca
4.782 0.000 0.000 Ca
4.782 4.782 4.443 Ca
0.000 0.000 4.443 Eu
0.000 4.782 4.443 Eu
4.782 0.000 4.443 Eu
4.782 4.782 0.000 Eu
2.374 2.374 6.651 Mn
2.374 7.189 2.234 Mn
7.189 2.374 2.234 Mn
7.189 7.189 6.651 Mn
2.376 2.376 2.222 Co
2.376 7.187 6.663 Co
7.187 2.376 6.663 Co
7.187 7.187 2.222 Co
0.007 2.381 6.636 O
0.007 7.183 2.250 O
2.370 2.370 4.445 O
2.370 7.194 4.440 O
2.381 0.007 6.636 O
2.381 9.556 2.250 O
2.400 4.771 6.670 O
2.400 4.793 2.216 O
2.416 2.416 8.882 O
2.416 7.148 0.003 O
4.771 2.400 6.670 O
4.771 7.163 2.216 O
4.793 2.400 2.216 O
4.793 7.163 6.670 O
7.148 2.416 0.003 O
7.148 7.148 8.882 O
7.163 4.771 2.216 O
7.163 4.793 6.670 O
7.183 0.007 2.250 O
7.183 9.556 6.636 O
7.194 2.370 4.440 O
7.194 7.194 4.445 O
9.556 2.381 2.250 O
9.556 7.183 6.636 O
```

[2]
For CaEuCo4O12, a crystal structure in the Materials Project, relaxed with PBE+U gives the calculated powder XRD pattern in this record (copper Kα).
Intensities are scaled so that the largest is 100.

Peak list (10 most intense, 2θ from 5° to 70°, by angle)
two_theta	d [Å]	Rel. int.
11.88	7.450	15
16.83	5.268	16
20.65	4.301	63
23.89	3.725	15
26.76	3.332	12
34.04	2.634	100
40.14	2.246	34
48.90	1.863	47
53.62	1.709	14
60.92	1.521	37

```
CaEuCo4O12
1.0
5.268 0.000 0.000
0.000 5.268 0.000
0.000 0.000 7.450
Ca Eu Co O
1 1 4 12
Cartesian
0.000 0.000 0.000 Ca
2.634 2.634 3.725 Eu
0.000 2.634 1.835 Co
0.000 2.634 5.615 Co
2.634 0.000 1.835 Co
2.634 0.000 5.615 Co
0.000 2.634 0.000 O
0.000 2.634 3.725 O
1.332 1.332 1.885 O
1.332 1.332 5.565 O
1.332 3.936 1.885 O
1.332 3.936 5.565 O
2.634 0.000 0.000 O
2.634 0.000 3.725 O
3.936 1.332 1.885 O
3.936 1.332 5.565 O
3.936 3.936 1.885 O
3.936 3.936 5.565 O
```

[3]
For CaCoF4, a crystal structure in the Materials Project, relaxed with PBE+U gives the calculated powder XRD pattern in this record (copper Kα).
Intensities are scaled so that the largest is 100.

Peak list (10 most intense, 2θ from 5° to 70°, by angle)
two_theta	d [Å]	Rel. int.
23.10	3.850	13
28.49	3.133	100
28.80	3.099	96
47.22	1.925	45
47.47	1.915	25
47.88	1.900	52
48.28	1.885	26
55.88	1.645	14
56.08	1.640	13
56.26	1.635	13

```
CaCoF4
1.0
5.925 -2.722 0.000
5.925 2.722 0.000
-2.425 0.000 4.877
Ca Co F
2 2 8
Cartesian
4.107 1.388 3.657 Ca
5.319 -1.388 1.219 Ca
2.963 1.361 0.000 Co
1.750 -1.361 2.438 Co
-0.148 0.293 3.308 F
1.065 -0.293 0.869 F
2.201 0.308 4.608 F
3.414 -0.308 2.170 F
6.012 0.308 2.707 F
7.225 -0.308 0.268 F
8.361 0.293 4.007 F
9.573 -0.293 1.569 F
```